The following is a calculated PXRD pattern of Er2Se3. It was derived from a cell relaxed with GGA-PBE, using Cu Kα, 1.54184 Å.

Main lines, low angle first (10° ≤ 2θ ≤ 90°):
two_theta  d_spacing  I/Imax
22.1  4.026  43
25.2  3.540  90
32.1  2.787  81
34.0  2.634  36
39.3  2.292  100
40.7  2.218  90
46.1  1.971  57
62.3  1.491  30
63.1  1.473  49
80.8  1.189  28

```
Er2Se3
1.0
3.9415 0.0000 0.0000
0.0000 3.9415 0.0000
0.0000 0.0000 8.0520
Er Se
2 3
Cartesian
0.0000 1.9707 1.9190
1.9707 0.0000 6.1330
0.0000 1.9707 6.9725
1.9707 0.0000 1.0795
1.9707 1.9707 4.0260
```